This entry pairs a crystal structure of Ge2Pd2Se with its theoretical powder diffractogram. Radiation: Cu Ka. Structure: the GGA-PBE geometry in Alexandria.
Peak positions follow from Bragg's law for the DFT cell and can differ from measured ones.

Most intense lines, 5° ≤ 2θ ≤ 70°, in order of falling intensity:
Position (°2θ)	intensity
35.3	100.0
45.0	47.0
45.2	35.5
32.5	26.5
46.0	22.1
15.7	20.4

Cell and atoms:
Cell: 6.3332 6.3332 6.3332 Å, 142.89 142.89 53.49°
Atoms (fractional coordinates):
Ge 0.1092 0.1092 0.0000
Ge 0.8908 0.8908 0.0000
Pd 0.2500 0.7500 0.5000
Pd 0.7500 0.2500 0.5000
Se 0.5000 0.5000 0.0000

---

This entry pairs a crystal structure of Tm3Ag2Au4 with its theoretical powder diffractogram. Radiation: Cu Ka. Structure: the GGA-PBE geometry in Alexandria.
Peak positions follow from Bragg's law for the DFT cell and can differ from measured ones.

Most intense lines, 5° ≤ 2θ ≤ 70°, in order of falling intensity:
Position (°2θ)	intensity
38.4	100.0
33.4	74.2
35.2	62.9
35.4	62.8
42.7	37.9
42.9	35.8

Cell and atoms:
Cell: 8.7260 8.7260 5.2541 Å, 98.68 98.68 75.88°
Atoms (fractional coordinates):
Tm 0.1213 0.8787 0.7500
Tm 0.2161 0.4652 0.9357
Tm 0.4652 0.2161 0.4357
Tm 0.5348 0.7839 0.5643
Tm 0.7839 0.5348 0.0643
Tm 0.8787 0.1213 0.2500
Ag 0.0960 0.3487 0.3729
Ag 0.3487 0.0960 0.8729
Ag 0.6513 0.9040 0.1271
Ag 0.9040 0.6513 0.6271
Au 0.0062 0.7630 0.1785
Au 0.2370 0.9938 0.3215
Au 0.3056 0.5695 0.4852
Au 0.4305 0.6944 0.0148
Au 0.5695 0.3056 0.9852
Au 0.6944 0.4305 0.5148
Au 0.7630 0.0062 0.6785
Au 0.9938 0.2370 0.8215

---

This entry pairs a crystal structure of Pu3Ge4Pd4 with its theoretical powder diffractogram. Radiation: Cu Ka. Structure: the GGA-PBE geometry in Alexandria.
Peak positions follow from Bragg's law for the DFT cell and can differ from measured ones.

Most intense lines, 5° ≤ 2θ ≤ 70°, in order of falling intensity:
Position (°2θ)	intensity
33.3	100.0
35.6	87.6
34.6	37.6
42.7	34.5
42.4	29.4
56.0	28.1

Cell and atoms:
Cell: 8.1142 8.1142 8.1142 Å, 149.72 127.39 61.91°
Atoms (fractional coordinates):
Pu 0.0000 0.0000 0.0000
Pu 0.3805 0.8805 0.5000
Pu 0.6195 0.1195 0.5000
Ge 0.2194 0.2194 0.0000
Ge 0.3061 0.5000 0.8061
Ge 0.6939 0.5000 0.1939
Ge 0.7806 0.7806 0.0000
Pd 0.0208 0.3228 0.6980
Pd 0.3753 0.6772 0.6980
Pd 0.6247 0.3228 0.3020
Pd 0.9792 0.6772 0.3020

---

This entry pairs a crystal structure of La2Be2Sn with its theoretical powder diffractogram. Radiation: Cu Ka. Structure: the GGA-PBE geometry in Alexandria.
Peak positions follow from Bragg's law for the DFT cell and can differ from measured ones.

Most intense lines, 5° ≤ 2θ ≤ 70°, in order of falling intensity:
Position (°2θ)	intensity
32.0	100.0
34.5	83.9
28.5	58.7
26.2	58.3
40.8	39.2
59.4	32.1

Cell and atoms:
Cell: 6.9959 6.9959 4.6708 Å, 90.00 90.00 90.00°
Atoms (fractional coordinates):
La 0.1753 0.3247 0.0000
La 0.3247 0.8247 0.0000
La 0.6753 0.1753 0.0000
La 0.8247 0.6753 0.0000
Be 0.1125 0.6125 0.5000
Be 0.3875 0.1125 0.5000
Be 0.6125 0.8875 0.5000
Be 0.8875 0.3875 0.5000
Sn 0.0000 0.0000 0.5000
Sn 0.5000 0.5000 0.5000